Computed powder X-ray diffraction pattern
Compound: KFe3H6S2O14
Radiation: Cu Kα (λ = 1.5418 Å)
Structure: a GGA+U-relaxed structure
No peak broadening, texture or thermal motion is included.

Structure:
a b c (Å): 7.2579 7.2579 7.2579
angles (deg): 61.42 61.42 61.42
Sites, in units of the cell vectors:
K: 0.0000 0.0000 0.0000
Fe: 0.0000 0.0000 0.5000
Fe: 0.0000 0.5000 0.0000
Fe: 0.5000 0.0000 0.0000
H: 0.2827 0.6935 0.6935
H: 0.3065 0.3065 0.7173
H: 0.3065 0.7173 0.3065
H: 0.6935 0.2827 0.6935
H: 0.6935 0.6935 0.2827
H: 0.7173 0.3065 0.3065
S: 0.3064 0.3064 0.3064
S: 0.6936 0.6936 0.6936
O: 0.1205 0.7373 0.7373
O: 0.1678 0.1678 0.4973
O: 0.1678 0.4973 0.1678
O: 0.2627 0.2627 0.8795
O: 0.2627 0.8795 0.2627
O: 0.3902 0.3902 0.3902
O: 0.4973 0.1678 0.1678
O: 0.5027 0.8322 0.8322
O: 0.6098 0.6098 0.6098
O: 0.7373 0.1205 0.7373
O: 0.7373 0.7373 0.1205
O: 0.8322 0.5027 0.8322
O: 0.8322 0.8322 0.5027
O: 0.8795 0.2627 0.2627

Largest 6 diffraction maxima, low angle first, 2θ from 5° to 70°:
2θ (°)  I/Imax
17.10  53
28.26  60
28.49  100
38.48  34
45.10  33
49.16  34